Starting from a DFT-relaxed cell (GGA-PBE, the Materials Project), the powder diffraction line list of NiTeSe was calculated for CuKα.
Peak positions follow from Bragg's law for the DFT cell and can differ from measured ones.

Structural model:
```
data_NiTeSe
_chemical_formula_sum 'Ni1 Te1 Se1'
_cell_length_a 3.7676
_cell_length_b 3.7676
_cell_length_c 5.0544
_cell_angle_alpha 90.00
_cell_angle_beta 90.00
_cell_angle_gamma 120.00
_space_group_name_H-M_alt 'P 3 m 1'
_space_group_IT_number 156
_space_group_name_Hall 'P 3 -2"'
loop_
_atom_site_label
_atom_site_type_symbol
_atom_site_fract_x
_atom_site_fract_y
_atom_site_fract_z
Ni1 Ni 0.0000 0.0000 0.0000
Te1 Te 0.6667 0.3333 0.7343
Se1 Se 0.3333 0.6667 0.2266
```

Main lines, by intensity (5° ≤ 2θ ≤ 70°):
two_theta	d (Å)	intensity	(hkl)
32.7	2.741	100	0 1 1
48.3	1.884	33	1 1 0
45.4	1.998	32	0 1 2
59.5	1.553	17	2 0 1
62.0	1.497	15	1 0 3
17.5	5.054	13	0 0 1
61.4	1.510	9	1 1 2
68.5	1.371	9	2 0 2
35.5	2.527	7	0 0 2
27.3	3.263	6	1 0 0